The following is a simulated powder XRD pattern of MnPtRhO4. It was derived from DFT lattice parameters and positions (GGA+U), using Cu Kα (weighted mean of Kα1 and Kα2).

Top 8 peaks for 15 to 90 degrees two-theta, low angle first:
- 17.1 deg, d 5.188, I 100.0, hkl 0 1 1
- 17.3 deg, d 5.114, I 42.1, hkl 1 0 1
- 30.4 deg, d 2.936, I 68.1, hkl 0 1 3
- 34.6 deg, d 2.594, I 61.8, hkl 0 2 2
- 34.8 deg, d 2.576, I 89.5, hkl 2 1 1
- 35.1 deg, d 2.557, I 42.6, hkl 2 0 2
- 42.7 deg, d 2.119, I 45.6, hkl 2 2 0
- 56.8 deg, d 1.621, I 57.6, hkl 2 2 4

Structural model:
```
data_MnPtRhO4
_chemical_formula_sum 'Mn4 Pt4 Rh4 O16'
_space_group_name_H-M_alt 'I m m a'
_space_group_IT_number 74
_space_group_name_Hall '-I 2b 2'
_cell_length_a 5.935
_cell_length_b 6.053
_cell_length_c 10.073
_cell_angle_alpha 90.00
_cell_angle_beta 90.00
_cell_angle_gamma 90.00
loop_
_atom_site_label
_atom_site_type_symbol
_atom_site_fract_x
_atom_site_fract_y
_atom_site_fract_z
_atom_site_occupancy
Mn1 Mn 0.000 0.250 0.154 1
Pt1 Pt 0.250 0.250 0.750 1
Rh1 Rh 0.000 0.000 0.500 1
O1 O 0.000 0.030 0.706 1
O2 O 0.219 0.250 0.462 1
```